Computed powder XRD pattern
Compound: GaAgMoF6
Radiation: Cu Kα X-rays
Structure: a PBE+U-relaxed structure
Neutral-atom scattering factors, no anomalous dispersion.

Main lines, low angle first (2θ from 5° to 70°):
d (Å), 2theta, intensity, index
5.030, 17.63, 7, 0 0 2
3.540, 25.15, 100, 1 0 2
2.877, 31.08, 36, 1 1 0
2.497, 35.97, 12, 1 1 2
2.233, 40.40, 26, 2 0 2
1.894, 48.05, 46, 1 1 4
1.764, 51.83, 26, 2 1 2
1.661, 55.30, 19, 3 0 0
1.589, 58.04, 8, 1 0 6
1.391, 67.31, 6, 2 0 6

Structure:
```
data_GaAgMoF6
_space_group_name_H-M_alt 'P 1'
_space_group_IT_number 1
_space_group_name_Hall 'P 1'
_cell_length_a 5.755
_cell_length_b 5.755
_cell_length_c 10.060
_cell_angle_alpha 90.00
_cell_angle_beta 90.00
_cell_angle_gamma 120.00
loop_
_atom_site_label
_atom_site_type_symbol
_atom_site_fract_x
_atom_site_fract_y
_atom_site_fract_z
_atom_site_occupancy
Ga1 Ga 0.333 0.667 0.250 1
Ga2 Ga 0.667 0.333 0.750 1
Ag1 Ag 0.000 0.000 0.000 1
Ag2 Ag 0.000 0.000 0.500 1
Mo1 Mo 0.333 0.667 0.750 1
Mo2 Mo 0.667 0.333 0.250 1
F1 F 0.006 0.365 0.642 1
F2 F 0.006 0.641 0.858 1
F3 F 0.359 0.365 0.858 1
F4 F 0.359 0.994 0.642 1
F5 F 0.365 0.006 0.142 1
F6 F 0.365 0.359 0.358 1
F7 F 0.635 0.641 0.642 1
F8 F 0.635 0.994 0.858 1
F9 F 0.641 0.006 0.358 1
F10 F 0.641 0.635 0.142 1
F11 F 0.994 0.359 0.142 1
F12 F 0.994 0.635 0.358 1
```